Record 1
Simulated X-ray powder pattern
Compound: CaMg2
Radiation: Cu Kα, 1.54184 Å
Structure: DFT lattice parameters and positions (GGA-PBE)

Cell and atoms:
```
data_CaMg2
_space_group_name_H-M_alt 'P 1'
_space_group_IT_number 1
_space_group_name_Hall 'P 1'
_cell_length_a 6.759
_cell_length_b 6.759
_cell_length_c 7.929
_cell_angle_alpha 101.77
_cell_angle_beta 101.77
_cell_angle_gamma 29.57
loop_
_atom_site_label
_atom_site_type_symbol
_atom_site_fract_x
_atom_site_fract_y
_atom_site_fract_z
Ca1 Ca 0.000 0.000 0.000
Ca2 Ca 0.681 0.681 0.358
Mg1 Mg 0.283 0.283 0.058
Mg2 Mg 0.342 0.342 0.684
Mg3 Mg 0.625 0.625 0.739
Mg4 Mg 0.950 0.950 0.415
```

The 8 most intense peaks (2θ from 10° to 80°), in order of rising 2θ:
2θ 29.78, I = 48
2θ 32.34, I = 72
2θ 32.50, I = 51
2θ 33.43, I = 100
2θ 34.53, I = 92
2θ 34.72, I = 42
2θ 52.35, I = 31
2θ 63.59, I = 31

Record 2
Simulated X-ray powder pattern
Compound: CaMg
Radiation: Cu Kα, 1.54184 Å
Structure: DFT lattice parameters and positions (GGA-PBE)

Cell and atoms:
```
data_CaMg
_space_group_name_H-M_alt 'P 1'
_space_group_IT_number 1
_space_group_name_Hall 'P 1'
_cell_length_a 6.462
_cell_length_b 6.462
_cell_length_c 5.994
_cell_angle_alpha 107.79
_cell_angle_beta 107.79
_cell_angle_gamma 32.01
loop_
_atom_site_label
_atom_site_type_symbol
_atom_site_fract_x
_atom_site_fract_y
_atom_site_fract_z
Ca1 Ca 0.104 0.104 0.318
Ca2 Ca 0.896 0.896 0.682
Mg1 Mg 0.352 0.352 0.155
Mg2 Mg 0.648 0.648 0.845
```

The 8 most intense peaks (2θ from 10° to 80°), in order of rising 2θ:
2θ 29.39, I = 19
2θ 30.31, I = 97
2θ 31.49, I = 18
2θ 31.82, I = 100
2θ 34.27, I = 82
2θ 39.35, I = 20
2θ 53.13, I = 23
2θ 60.73, I = 23

Record 3
Simulated X-ray powder pattern
Compound: CaMg
Radiation: Cu Kα, 1.54184 Å
Structure: DFT lattice parameters and positions (GGA-PBE)

Cell and atoms:
```
data_CaMg
_space_group_name_H-M_alt 'P 1'
_space_group_IT_number 1
_space_group_name_Hall 'P 1'
_cell_length_a 3.637
_cell_length_b 3.637
_cell_length_c 11.336
_cell_angle_alpha 90.00
_cell_angle_beta 90.00
_cell_angle_gamma 120.00
loop_
_atom_site_label
_atom_site_type_symbol
_atom_site_fract_x
_atom_site_fract_y
_atom_site_fract_z
Ca1 Ca 0.333 0.667 0.357
Ca2 Ca 0.667 0.333 0.643
Mg1 Mg 0.333 0.667 0.887
Mg2 Mg 0.667 0.333 0.113
```

The 8 most intense peaks (2θ from 10° to 80°), in order of rising 2θ:
2θ 28.34, I = 25
2θ 31.57, I = 21
2θ 32.52, I = 100
2θ 42.93, I = 14
2θ 50.17, I = 19
2θ 56.83, I = 14
2θ 60.50, I = 17
2θ 61.07, I = 14

Record 4
Simulated X-ray powder pattern
Compound: CaMg
Radiation: Cu Kα, 1.54184 Å
Structure: DFT lattice parameters and positions (GGA-PBE)

Cell and atoms:
```
data_CaMg
_space_group_name_H-M_alt 'P 1'
_space_group_IT_number 1
_space_group_name_Hall 'P 1'
_cell_length_a 3.693
_cell_length_b 5.810
_cell_length_c 5.989
_cell_angle_alpha 90.00
_cell_angle_beta 90.00
_cell_angle_gamma 90.00
loop_
_atom_site_label
_atom_site_type_symbol
_atom_site_fract_x
_atom_site_fract_y
_atom_site_fract_z
Ca1 Ca 0.250 0.250 0.093
Ca2 Ca 0.750 0.750 0.907
Mg1 Mg 0.250 0.750 0.415
Mg2 Mg 0.750 0.250 0.585
```

The 8 most intense peaks (2θ from 10° to 80°), in order of rising 2θ:
2θ 28.39, I = 29
2θ 30.78, I = 40
2θ 32.38, I = 100
2θ 33.67, I = 51
2θ 42.37, I = 18
2θ 52.08, I = 16
2θ 55.75, I = 19
2θ 61.72, I = 19

Record 5
Simulated X-ray powder pattern
Compound: CaMg6Mo
Radiation: Cu Kα, 1.54184 Å
Structure: DFT lattice parameters and positions (GGA-PBE)

Cell and atoms:
```
data_CaMg6Mo
_space_group_name_H-M_alt 'P 1'
_space_group_IT_number 1
_space_group_name_Hall 'P 1'
_cell_length_a 5.089
_cell_length_b 6.406
_cell_length_c 6.406
_cell_angle_alpha 59.83
_cell_angle_beta 90.00
_cell_angle_gamma 90.00
loop_
_atom_site_label
_atom_site_type_symbol
_atom_site_fract_x
_atom_site_fract_y
_atom_site_fract_z
Ca1 Ca 0.000 0.000 0.000
Mg1 Mg 0.000 0.509 0.509
Mg2 Mg 0.000 0.526 0.995
Mg3 Mg 0.000 0.995 0.526
Mg4 Mg 0.500 0.339 0.339
Mg5 Mg 0.500 0.350 0.838
Mg6 Mg 0.500 0.838 0.350
Mo1 Mo 0.500 0.835 0.835
```

The 8 most intense peaks (2θ from 10° to 80°), in order of rising 2θ:
2θ 15.99, I = 41
2θ 23.73, I = 22
2θ 32.30, I = 27
2θ 33.05, I = 13
2θ 35.27, I = 25
2θ 36.93, I = 100
2θ 48.57, I = 16
2θ 64.39, I = 18

Record 6
Simulated X-ray powder pattern
Compound: CaMg6Mo
Radiation: Cu Kα, 1.54184 Å
Structure: DFT lattice parameters and positions (GGA-PBE)

Cell and atoms:
```
data_CaMg6Mo
_space_group_name_H-M_alt 'P 1'
_space_group_IT_number 1
_space_group_name_Hall 'P 1'
_cell_length_a 6.368
_cell_length_b 6.368
_cell_length_c 4.367
_cell_angle_alpha 90.00
_cell_angle_beta 90.00
_cell_angle_gamma 90.00
loop_
_atom_site_label
_atom_site_type_symbol
_atom_site_fract_x
_atom_site_fract_y
_atom_site_fract_z
Ca1 Ca 0.000 0.000 0.000
Mg1 Mg 0.000 0.500 0.000
Mg2 Mg 0.274 0.274 0.500
Mg3 Mg 0.274 0.726 0.500
Mg4 Mg 0.500 0.000 0.000
Mg5 Mg 0.726 0.274 0.500
Mg6 Mg 0.726 0.726 0.500
Mo1 Mo 0.500 0.500 0.000
```

The 8 most intense peaks (2θ from 10° to 80°), in order of rising 2θ:
2θ 13.91, I = 27
2θ 19.72, I = 21
2θ 28.47, I = 15
2θ 34.87, I = 100
2θ 40.05, I = 33
2θ 41.35, I = 16
2θ 58.92, I = 20
2θ 69.43, I = 22

Record 7
Simulated X-ray powder pattern
Compound: Ca5MgN4
Radiation: Cu Kα, 1.54184 Å
Structure: DFT lattice parameters and positions (GGA-PBE)

Cell and atoms:
```
data_Ca5MgN4
_space_group_name_H-M_alt 'P 1'
_space_group_IT_number 1
_space_group_name_Hall 'P 1'
_cell_length_a 7.590
_cell_length_b 7.937
_cell_length_c 5.866
_cell_angle_alpha 90.00
_cell_angle_beta 90.00
_cell_angle_gamma 90.00
loop_
_atom_site_label
_atom_site_type_symbol
_atom_site_fract_x
_atom_site_fract_y
_atom_site_fract_z
Ca1 Ca 0.002 0.051 0.245
Ca2 Ca 0.002 0.449 0.245
Ca3 Ca 0.250 0.250 0.703
Ca4 Ca 0.498 0.051 0.245
Ca5 Ca 0.498 0.449 0.245
Ca6 Ca 0.502 0.551 0.755
Ca7 Ca 0.502 0.949 0.755
Ca8 Ca 0.750 0.750 0.297
Ca9 Ca 0.998 0.551 0.755
Ca10 Ca 0.998 0.949 0.755
Mg1 Mg 0.250 0.750 0.281
Mg2 Mg 0.750 0.250 0.719
N1 N 0.009 0.750 0.077
N2 N 0.250 0.509 0.488
N3 N 0.250 0.991 0.488
N4 N 0.491 0.750 0.077
N5 N 0.509 0.250 0.923
N6 N 0.750 0.009 0.512
N7 N 0.750 0.491 0.512
N8 N 0.991 0.250 0.923
```

The 8 most intense peaks (2θ from 10° to 80°), in order of rising 2θ:
2θ 23.44, I = 31
2θ 30.23, I = 68
2θ 30.48, I = 51
2θ 32.65, I = 55
2θ 37.29, I = 78
2θ 45.27, I = 100
2θ 47.94, I = 31
2θ 62.26, I = 30

Record 8
Simulated X-ray powder pattern
Compound: Ca2MgN2
Radiation: Cu Kα, 1.54184 Å
Structure: DFT lattice parameters and positions (GGA-PBE)

Cell and atoms:
```
data_Ca2MgN2
_space_group_name_H-M_alt 'P 1'
_space_group_IT_number 1
_space_group_name_Hall 'P 1'
_cell_length_a 6.368
_cell_length_b 8.240
_cell_length_c 6.235
_cell_angle_alpha 90.00
_cell_angle_beta 98.28
_cell_angle_gamma 90.00
loop_
_atom_site_label
_atom_site_type_symbol
_atom_site_fract_x
_atom_site_fract_y
_atom_site_fract_z
Ca1 Ca 0.076 0.134 0.191
Ca2 Ca 0.076 0.366 0.691
Ca3 Ca 0.335 0.634 0.946
Ca4 Ca 0.335 0.866 0.446
Ca5 Ca 0.665 0.134 0.554
Ca6 Ca 0.665 0.366 0.054
Ca7 Ca 0.924 0.634 0.309
Ca8 Ca 0.924 0.866 0.809
Mg1 Mg 0.375 0.111 0.881
Mg2 Mg 0.375 0.389 0.381
Mg3 Mg 0.625 0.611 0.619
Mg4 Mg 0.625 0.889 0.119
N1 N 0.272 0.593 0.556
N2 N 0.272 0.907 0.056
N3 N 0.284 0.159 0.545
N4 N 0.284 0.341 0.045
N5 N 0.716 0.659 0.955
N6 N 0.716 0.841 0.455
N7 N 0.728 0.093 0.944
N8 N 0.728 0.407 0.444
```

The 8 most intense peaks (2θ from 10° to 80°), in order of rising 2θ:
2θ 21.54, I = 23
2θ 30.37, I = 43
2θ 30.68, I = 100
2θ 31.88, I = 21
2θ 32.30, I = 26
2θ 37.19, I = 38
2θ 43.94, I = 70
2θ 49.54, I = 28

Record 9
Simulated X-ray powder pattern
Compound: Ca2MgN2
Radiation: Cu Kα, 1.54184 Å
Structure: DFT lattice parameters and positions (GGA-PBE)

Cell and atoms:
```
data_Ca2MgN2
_space_group_name_H-M_alt 'P 1'
_space_group_IT_number 1
_space_group_name_Hall 'P 1'
_cell_length_a 3.589
_cell_length_b 3.589
_cell_length_c 8.231
_cell_angle_alpha 90.07
_cell_angle_beta 90.07
_cell_angle_gamma 60.16
loop_
_atom_site_label
_atom_site_type_symbol
_atom_site_fract_x
_atom_site_fract_y
_atom_site_fract_z
Ca1 Ca 0.166 0.166 0.276
Ca2 Ca 0.834 0.834 0.724
Mg1 Mg 0.500 0.500 0.000
N1 N 0.168 0.168 0.842
N2 N 0.832 0.832 0.158
```

The 8 most intense peaks (2θ from 10° to 80°), in order of rising 2θ:
2θ 10.75, I = 41
2θ 21.59, I = 43
2θ 30.73, I = 75
2θ 36.20, I = 100
2θ 44.01, I = 47
2θ 50.76, I = 15
2θ 50.89, I = 29
2θ 63.98, I = 28

Record 10
Simulated X-ray powder pattern
Compound: NaCaMg6
Radiation: Cu Kα, 1.54184 Å
Structure: DFT lattice parameters and positions (GGA-PBE)

Cell and atoms:
```
data_NaCaMg6
_space_group_name_H-M_alt 'P 1'
_space_group_IT_number 1
_space_group_name_Hall 'P 1'
_cell_length_a 5.435
_cell_length_b 6.672
_cell_length_c 6.672
_cell_angle_alpha 59.64
_cell_angle_beta 90.00
_cell_angle_gamma 90.00
loop_
_atom_site_label
_atom_site_type_symbol
_atom_site_fract_x
_atom_site_fract_y
_atom_site_fract_z
Na1 Na 0.000 0.000 0.000
Ca1 Ca 0.500 0.170 0.170
Mg1 Mg 0.000 0.001 0.503
Mg2 Mg 0.000 0.502 0.502
Mg3 Mg 0.000 0.503 0.001
Mg4 Mg 0.500 0.166 0.669
Mg5 Mg 0.500 0.669 0.166
Mg6 Mg 0.500 0.669 0.669
```

The 8 most intense peaks (2θ from 10° to 80°), in order of rising 2θ:
2θ 31.07, I = 24
2θ 32.96, I = 40
2θ 35.13, I = 50
2θ 35.28, I = 100
2θ 45.93, I = 15
2θ 55.06, I = 17
2θ 60.37, I = 19
2θ 65.68, I = 19

Record 11
Simulated X-ray powder pattern
Compound: NaCaMg14
Radiation: Cu Kα, 1.54184 Å
Structure: DFT lattice parameters and positions (GGA-PBE)

Cell and atoms:
```
data_NaCaMg14
_space_group_name_H-M_alt 'P 1'
_space_group_IT_number 1
_space_group_name_Hall 'P 1'
_cell_length_a 6.599
_cell_length_b 6.599
_cell_length_c 10.366
_cell_angle_alpha 90.00
_cell_angle_beta 90.00
_cell_angle_gamma 120.00
loop_
_atom_site_label
_atom_site_type_symbol
_atom_site_fract_x
_atom_site_fract_y
_atom_site_fract_z
Na1 Na 0.000 0.000 0.000
Ca1 Ca 0.000 0.000 0.500
Mg1 Mg 0.003 0.501 0.000
Mg2 Mg 0.006 0.503 0.500
Mg3 Mg 0.171 0.342 0.247
Mg4 Mg 0.171 0.342 0.753
Mg5 Mg 0.171 0.829 0.247
Mg6 Mg 0.171 0.829 0.753
Mg7 Mg 0.497 0.503 0.500
Mg8 Mg 0.497 0.994 0.500
Mg9 Mg 0.499 0.501 0.000
Mg10 Mg 0.499 0.997 0.000
Mg11 Mg 0.658 0.829 0.247
Mg12 Mg 0.658 0.829 0.753
Mg13 Mg 0.667 0.333 0.252
Mg14 Mg 0.667 0.333 0.748
```

The 8 most intense peaks (2θ from 10° to 80°), in order of rising 2θ:
2θ 31.31, I = 24
2θ 34.61, I = 25
2θ 35.89, I = 100
2θ 47.36, I = 15
2θ 55.72, I = 17
2θ 62.86, I = 18
2θ 67.28, I = 19
2θ 68.08, I = 14

Number 5 is which compound?
CaMg6Mo